No. 1
# BaMg2TlAu
Calculated powder diffractogram, copper Kα. Input: a DFT-relaxed cell (GGA-PBE, OQMD).

Main lines, in order of rising 2θ (15 to 90 degrees two-theta):
3.295 Å, 2θ 27.06, rel. 90.4; 3.171 Å, 2θ 28.14, rel. 100.0; 2.330 Å, 2θ 38.64, rel. 52.8; 2.268 Å, 2θ 39.74, rel. 63.7; 1.878 Å, 2θ 48.48, rel. 45.4; 1.625 Å, 2θ 56.63, rel. 45.7

Crystal structure
```
data_BaMg2TlAu
_cell_length_a 4.6603
_cell_length_b 4.6603
_cell_length_c 12.9809
_cell_angle_alpha 90.00
_cell_angle_beta 90.00
_cell_angle_gamma 90.00
_symmetry_space_group_name_H-M 'I 4 m m'
_symmetry_Int_Tables_number 107
_symmetry_space_group_name_Hall 'I 4 -2'
loop_
_atom_site_label
_atom_site_fract_x
_atom_site_fract_y
_atom_site_fract_z
Ba1 0.0000 0.0000 0.0000
Mg1 0.0000 0.5000 0.2362
Tl1 0.0000 0.0000 0.3835
Au1 0.0000 0.0000 0.6191
```



No. 2
# GdTh
Calculated powder diffractogram, copper Kα. Input: a DFT-relaxed cell (GGA-PBE, OQMD).

Main lines, in order of rising 2θ (15 to 90 degrees two-theta):
3.081 Å, 2θ 28.98, rel. 24.8; 2.955 Å, 2θ 30.24, rel. 27.1; 2.732 Å, 2θ 32.78, rel. 100.0; 1.779 Å, 2θ 51.37, rel. 19.0; 1.660 Å, 2θ 55.35, rel. 23.1; 1.524 Å, 2θ 60.78, rel. 23.1

Crystal structure
```
data_GdTh
_cell_length_a 3.5571
_cell_length_b 3.5571
_cell_length_c 5.9107
_cell_angle_alpha 90.00
_cell_angle_beta 90.00
_cell_angle_gamma 120.00
_symmetry_space_group_name_H-M 'P -6 m 2'
_symmetry_Int_Tables_number 187
_symmetry_space_group_name_Hall 'P -6 2'
loop_
_atom_site_label
_atom_site_fract_x
_atom_site_fract_y
_atom_site_fract_z
Gd1 0.0000 0.0000 0.0000
Th1 0.6667 0.3333 0.5000
```



No. 3
# InReHg3Te4
Calculated powder diffractogram, copper Kα. Input: a DFT-relaxed cell (GGA-PBE, OQMD).

Main lines, in order of rising 2θ (15 to 90 degrees two-theta):
4.113 Å, 2θ 21.61, rel. 67.3; 2.519 Å, 2θ 35.65, rel. 100.0; 2.148 Å, 2θ 42.07, rel. 32.8; 1.976 Å, 2θ 45.93, rel. 15.5; 1.781 Å, 2θ 51.30, rel. 15.9; 1.454 Å, 2θ 64.03, rel. 30.1

Crystal structure
```
data_InReHg3Te4
_cell_length_a 7.1236
_cell_length_b 7.1236
_cell_length_c 7.1236
_cell_angle_alpha 90.00
_cell_angle_beta 90.00
_cell_angle_gamma 90.00
_symmetry_space_group_name_H-M 'P -4 3 m'
_symmetry_Int_Tables_number 215
_symmetry_space_group_name_Hall 'P -4 2 3'
loop_
_atom_site_label
_atom_site_fract_x
_atom_site_fract_y
_atom_site_fract_z
In1 0.0000 0.0000 0.0000
Re1 0.5000 0.5000 0.5000
Hg1 0.0000 0.5000 0.5000
Te1 0.2817 0.2817 0.2817
```



No. 4
# Cu7Ag2
Calculated powder diffractogram, copper Kα. Input: a DFT-relaxed cell (GGA-PBE, OQMD).

Main lines, in order of rising 2θ (15 to 90 degrees two-theta):
2.168 Å, 2θ 41.65, rel. 97.6; 2.150 Å, 2θ 42.02, rel. 100.0; 1.949 Å, 2θ 46.60, rel. 71.8; 1.737 Å, 2θ 52.69, rel. 22.2; 1.297 Å, 2θ 72.95, rel. 30.2; 1.157 Å, 2θ 83.53, rel. 22.7

Crystal structure
```
data_Cu7Ag2
_cell_length_a 13.3399
_cell_length_b 2.7375
_cell_length_c 7.4823
_cell_angle_alpha 90.00
_cell_angle_beta 119.62
_cell_angle_gamma 90.00
_symmetry_space_group_name_H-M 'C 1 2/m 1'
_symmetry_Int_Tables_number 12
_symmetry_space_group_name_Hall '-C 2y'
loop_
_atom_site_label
_atom_site_fract_x
_atom_site_fract_y
_atom_site_fract_z
Cu1 0.0000 0.0000 0.0000
Cu2 0.0507 0.5000 0.3269
Cu3 0.0995 0.0000 0.6507
Cu4 0.1605 0.5000 0.9672
Ag1 0.2212 0.0000 0.3127
```



No. 5
# TbSm2Cu4Sn4
Calculated powder diffractogram, copper Kα. Input: a DFT-relaxed cell (GGA-PBE, OQMD).

Main lines, in order of rising 2θ (15 to 90 degrees two-theta):
2.733 Å, 2θ 32.77, rel. 28.7; 2.706 Å, 2θ 33.11, rel. 100.0; 2.653 Å, 2θ 33.78, rel. 98.2; 2.262 Å, 2θ 39.86, rel. 44.5; 2.095 Å, 2θ 43.19, rel. 22.3; 2.019 Å, 2θ 44.88, rel. 26.2

Crystal structure
```
data_TbSm2Cu4Sn4
_cell_length_a 4.5231
_cell_length_b 6.9338
_cell_length_c 14.8698
_cell_angle_alpha 90.00
_cell_angle_beta 90.00
_cell_angle_gamma 90.00
_symmetry_space_group_name_H-M 'I m m m'
_symmetry_Int_Tables_number 71
_symmetry_space_group_name_Hall '-I 2 2'
loop_
_atom_site_label
_atom_site_fract_x
_atom_site_fract_y
_atom_site_fract_z
Tb1 0.0000 0.0000 0.0000
Sm1 0.0000 0.5000 0.1316
Cu1 0.0000 0.3133 0.3301
Sn1 0.0000 0.0000 0.2153
Sn2 0.0000 0.2045 0.5000
```